No. 1
Calculated PXRD pattern
Compound: Ac3Ni4Ge4
Radiation: a wavelength of 1.5418 Å
Structure: a DFT-relaxed cell (GGA-PBE, Alexandria)
Kinematic intensities with the Lorentz-polarization factor, no thermal factor.

Atomic structure:
Unit cell a=12.651 b=12.651 c=4.292 alpha=99.72 beta=99.72 gamma=19.91
Atoms (fractional coordinates):
Ac: 0.000 0.000 0.000
Ac: 0.151 0.151 0.652
Ac: 0.849 0.849 0.348
Ni: 0.249 0.249 0.249
Ni: 0.400 0.400 0.900
Ni: 0.600 0.600 0.100
Ni: 0.751 0.751 0.751
Ge: 0.298 0.298 0.798
Ge: 0.446 0.446 0.446
Ge: 0.554 0.554 0.554
Ge: 0.702 0.702 0.202

Peak list (10 most intense, 5 to 70 degrees two-theta, in order of falling intensity)
- 2θ = 32.69°, intensity 100
- 2θ = 30.06°, intensity 23
- 2θ = 39.12°, intensity 21
- 2θ = 41.28°, intensity 19
- 2θ = 54.32°, intensity 19
- 2θ = 42.10°, intensity 18
- 2θ = 23.40°, intensity 18
- 2θ = 58.18°, intensity 13
- 2θ = 60.43°, intensity 13
- 2θ = 69.84°, intensity 11

***

No. 2
Calculated PXRD pattern
Compound: Ac2Ni5Ge3
Radiation: a wavelength of 1.5418 Å
Structure: a DFT-relaxed cell (GGA-PBE, Alexandria)
Kinematic intensities with the Lorentz-polarization factor, no thermal factor.

Atomic structure:
Unit cell a=8.298 b=8.298 c=6.133 alpha=111.38 beta=111.38 gamma=92.51
Atoms (fractional coordinates):
Ac: 0.116 0.375 0.246
Ac: 0.375 0.116 0.746
Ac: 0.625 0.884 0.254
Ac: 0.884 0.625 0.754
Ni: 0.004 0.996 0.750
Ni: 0.248 0.752 0.750
Ni: 0.253 0.489 0.868
Ni: 0.255 0.745 0.250
Ni: 0.489 0.253 0.368
Ni: 0.511 0.747 0.632
Ni: 0.745 0.255 0.750
Ni: 0.747 0.511 0.132
Ni: 0.752 0.248 0.250
Ni: 0.996 0.004 0.250
Ge: 0.010 0.759 0.380
Ge: 0.241 0.990 0.120
Ge: 0.497 0.503 0.250
Ge: 0.503 0.497 0.750
Ge: 0.759 0.010 0.880
Ge: 0.990 0.241 0.620

Peak list (10 most intense, 5 to 70 degrees two-theta, in order of falling intensity)
- 2θ = 34.72°, intensity 100
- 2θ = 42.16°, intensity 84
- 2θ = 35.15°, intensity 69
- 2θ = 34.53°, intensity 61
- 2θ = 34.42°, intensity 39
- 2θ = 22.61°, intensity 27
- 2θ = 29.12°, intensity 24
- 2θ = 22.71°, intensity 23
- 2θ = 29.81°, intensity 22
- 2θ = 51.36°, intensity 19

***

No. 3
Calculated PXRD pattern
Compound: Ac2NiGe3
Radiation: a wavelength of 1.5418 Å
Structure: a DFT-relaxed cell (GGA-PBE, Alexandria)
Kinematic intensities with the Lorentz-polarization factor, no thermal factor.

Atomic structure:
Unit cell a=8.736 b=8.587 c=6.284 alpha=70.00 beta=67.47 gamma=42.53
Atoms (fractional coordinates):
Ac: 0.245 0.755 0.245
Ac: 0.250 0.250 0.250
Ac: 0.750 0.750 0.750
Ac: 0.755 0.245 0.755
Ni: 0.334 0.334 0.666
Ni: 0.666 0.666 0.334
Ge: 0.174 0.174 0.826
Ge: 0.175 0.651 0.825
Ge: 0.349 0.825 0.651
Ge: 0.651 0.175 0.349
Ge: 0.825 0.349 0.175
Ge: 0.826 0.826 0.174

Peak list (10 most intense, 5 to 70 degrees two-theta, in order of falling intensity)
- 2θ = 30.96°, intensity 100
- 2θ = 42.08°, intensity 34
- 2θ = 58.92°, intensity 25
- 2θ = 23.93°, intensity 24
- 2θ = 53.15°, intensity 22
- 2θ = 39.29°, intensity 14
- 2θ = 66.08°, intensity 12
- 2θ = 46.53°, intensity 9
- 2θ = 69.97°, intensity 6
- 2θ = 48.98°, intensity 4

***

No. 4
Calculated PXRD pattern
Compound: Ac2NiGe
Radiation: a wavelength of 1.5418 Å
Structure: a DFT-relaxed cell (GGA-PBE, Alexandria)
Kinematic intensities with the Lorentz-polarization factor, no thermal factor.

Atomic structure:
Unit cell a=6.395 b=4.390 c=8.691 alpha=90.00 beta=110.45 gamma=90.00
Atoms (fractional coordinates):
Ac: 0.222 0.250 0.408
Ac: 0.237 0.250 0.956
Ac: 0.763 0.750 0.044
Ac: 0.778 0.750 0.592
Ni: 0.454 0.750 0.237
Ni: 0.546 0.250 0.763
Ge: 0.339 0.750 0.705
Ge: 0.661 0.250 0.295

Peak list (10 most intense, 5 to 70 degrees two-theta, in order of falling intensity)
- 2θ = 29.82°, intensity 100
- 2θ = 25.15°, intensity 91
- 2θ = 29.93°, intensity 65
- 2θ = 30.24°, intensity 41
- 2θ = 30.55°, intensity 37
- 2θ = 41.13°, intensity 34
- 2θ = 36.65°, intensity 34
- 2θ = 36.92°, intensity 30
- 2θ = 41.56°, intensity 26
- 2θ = 50.18°, intensity 25

***

What did the third record say?
Calculated PXRD pattern
Compound: Ac2NiGe3
Radiation: a wavelength of 1.5418 Å
Structure: a DFT-relaxed cell (GGA-PBE, Alexandria)
Kinematic intensities with the Lorentz-polarization factor, no thermal factor.

Atomic structure:
Unit cell a=8.736 b=8.587 c=6.284 alpha=70.00 beta=67.47 gamma=42.53
Atoms (fractional coordinates):
Ac: 0.245 0.755 0.245
Ac: 0.250 0.250 0.250
Ac: 0.750 0.750 0.750
Ac: 0.755 0.245 0.755
Ni: 0.334 0.334 0.666
Ni: 0.666 0.666 0.334
Ge: 0.174 0.174 0.826
Ge: 0.175 0.651 0.825
Ge: 0.349 0.825 0.651
Ge: 0.651 0.175 0.349
Ge: 0.825 0.349 0.175
Ge: 0.826 0.826 0.174

Peak list (10 most intense, 5 to 70 degrees two-theta, in order of falling intensity)
- 2θ = 30.96°, intensity 100
- 2θ = 42.08°, intensity 34
- 2θ = 58.92°, intensity 25
- 2θ = 23.93°, intensity 24
- 2θ = 53.15°, intensity 22
- 2θ = 39.29°, intensity 14
- 2θ = 66.08°, intensity 12
- 2θ = 46.53°, intensity 9
- 2θ = 69.97°, intensity 6
- 2θ = 48.98°, intensity 4